Diffraction record for MgCoAsO5. The powder X-ray diffraction pattern is simulated, not measured: it uses a crystal structure in the Materials Project, relaxed with GGA+U and copper Kα.
No peak broadening, texture or thermal motion is included.

Structural model:
```
data_MgCoAsO5
_chemical_formula_sum 'Mg4 Co4 As4 O20'
_space_group_name_H-M_alt 'P 21 21 21'
_space_group_IT_number 19
_cell_length_a 5.8478
_cell_length_b 7.6475
_cell_length_c 8.4891
_cell_angle_alpha 90.00
_cell_angle_beta 90.00
_cell_angle_gamma 90.00
loop_
_space_group_symop_operation_xyz
'x,y,z'
'-x+1/2,-y,z+1/2'
'x+1/2,-y+1/2,-z'
'-x,y+1/2,-z+1/2'
loop_
_atom_site_label
_atom_site_type_symbol
_atom_site_fract_x
_atom_site_fract_y
_atom_site_fract_z
_atom_site_occupancy
Mg1 Mg 0.0556 0.1548 0.3255 1
Co1 Co 0.2425 0.7573 0.5002 1
As1 As 0.0254 0.1100 0.6792 1
O1 O 0.0022 0.6367 0.4109 1
O2 O 0.0182 0.4283 0.9406 1
O3 O 0.1177 0.2640 0.5484 1
O4 O 0.2268 0.6571 0.7255 1
O5 O 0.2447 0.0750 0.8112 1
```

Top 10 peaks for 2θ = 5–70°, low angle first:
hkl 0 1 1, 2θ 15.60, intensity 59.3
hkl 1 0 1, 2θ 18.42, intensity 69.6
hkl 1 1 1, 2θ 21.81, intensity 45.0
hkl 0 2 1, 2θ 25.55, intensity 45.3
hkl 1 2 0, 2θ 27.88, intensity 100.0
hkl 0 2 2, 2θ 31.49, intensity 38.2
hkl 0 1 3, 2θ 33.77, intensity 69.7
hkl 2 1 1, 2θ 34.50, intensity 68.0
hkl 1 2 2, 2θ 35.12, intensity 48.6
hkl 2 3 3, 2θ 58.02, intensity 50.1


Diffraction record for LiVF4. The powder X-ray diffraction pattern is simulated, not measured: it uses a crystal structure in the Materials Project, relaxed with GGA+U and copper Kα.
No peak broadening, texture or thermal motion is included.

Structural model:
```
data_LiVF4
_chemical_formula_sum 'Li4 V4 F16'
_space_group_name_H-M_alt 'P 1 21/c 1'
_space_group_IT_number 14
_cell_length_a 5.2710
_cell_length_b 5.9852
_cell_length_c 10.8327
_cell_angle_alpha 90.00
_cell_angle_beta 112.58
_cell_angle_gamma 90.00
loop_
_space_group_symop_operation_xyz
'x,y,z'
'-x,-y,-z'
'-x,y+1/2,-z+1/2'
'x,-y+1/2,z+1/2'
loop_
_atom_site_label
_atom_site_type_symbol
_atom_site_fract_x
_atom_site_fract_y
_atom_site_fract_z
_atom_site_occupancy
Li1 Li 0.1215 0.1073 0.2838 1
V1 V 0.2631 0.6544 0.5049 1
F1 F 0.0197 0.6495 0.8652 1
F2 F 0.0280 0.5908 0.6103 1
F3 F 0.4552 0.5823 0.3877 1
F4 F 0.4982 0.6322 0.1162 1
```

Top 10 peaks for 2θ = 5–70°, low angle first:
hkl 0 1 1, 2θ 17.27, intensity 100.0
hkl 0 0 2, 2θ 17.73, intensity 97.9
hkl 1 1 0, 2θ 23.56, intensity 75.8
hkl 1 1 -2, 2θ 24.96, intensity 90.0
hkl 1 2 1, 2θ 38.14, intensity 88.3
hkl 2 0 -4, 2θ 40.61, intensity 46.6
hkl 1 2 3, 2θ 49.16, intensity 41.3
hkl 1 2 -5, 2θ 52.13, intensity 23.3
hkl 3 2 -3, 2θ 61.48, intensity 17.8
hkl 2 0 4, 2θ 62.64, intensity 25.1


Diffraction record for K3NaMgCr2O8. The powder X-ray diffraction pattern is simulated, not measured: it uses a crystal structure in the Materials Project, relaxed with GGA+U and copper Kα.
No peak broadening, texture or thermal motion is included.

Structural model:
```
data_K3NaMgCr2O8
_chemical_formula_sum 'K6 Na2 Mg2 Cr4 O16'
_space_group_name_H-M_alt 'C 1 2/m 1'
_space_group_IT_number 12
_cell_length_a 12.2234
_cell_length_b 6.1134
_cell_length_c 7.3811
_cell_angle_alpha 90.00
_cell_angle_beta 97.41
_cell_angle_gamma 90.00
loop_
_space_group_symop_operation_xyz
'x,y,z'
'-x,-y,-z'
'-x,y,-z'
'x,-y,z'
'x+1/2,y+1/2,z'
'-x+1/2,-y+1/2,-z'
'-x+1/2,y+1/2,-z'
'x+1/2,-y+1/2,z'
loop_
_atom_site_label
_atom_site_type_symbol
_atom_site_fract_x
_atom_site_fract_y
_atom_site_fract_z
_atom_site_occupancy
K1 K 0.0000 0.0000 0.0000 1
K2 K 0.2354 0.5000 0.3355 1
Na1 Na 0.0000 0.0000 0.5000 1
Mg1 Mg 0.0000 0.5000 0.5000 1
Cr1 Cr 0.1733 0.5000 0.7804 1
O1 O 0.0964 0.2866 0.6502 1
O2 O 0.1493 0.5000 0.9961 1
O3 O 0.1954 0.0000 0.2693 1
```

Top 10 peaks for 2θ = 5–70°, low angle first:
hkl 2 0 -1, 2θ 17.76, intensity 49.0
hkl 1 1 -1, 2θ 19.72, intensity 50.4
hkl 2 0 1, 2θ 20.19, intensity 34.9
hkl 3 1 0, 2θ 26.44, intensity 97.8
hkl 2 0 -2, 2θ 26.78, intensity 63.2
hkl 3 1 -1, 2θ 27.92, intensity 49.5
hkl 1 1 -2, 2θ 28.57, intensity 61.2
hkl 0 2 0, 2θ 29.22, intensity 100.0
hkl 2 0 2, 2θ 30.11, intensity 40.5
hkl 2 2 2, 2θ 42.45, intensity 77.5